Structure and simulated powder diffraction line list of MgAl2S4 (a cell relaxed with PBE; Cu Kα X-rays).
Peak positions follow from Bragg's law for the DFT cell and can differ from measured ones.

Main lines, in order of rising 2θ (2θ from 10° to 90°):
| 2theta | intensity | index |
| --- | --- | --- |
| 15.0 | 29.9 | 1 1 1 |
| 24.6 | 16.9 | 2 2 0 |
| 28.9 | 42.2 | 3 1 1 |
| 30.2 | 44.2 | 2 2 2 |
| 35.1 | 91.7 | 4 0 0 |
| 46.1 | 42.4 | 5 1 1 |
| 50.4 | 100.0 | 4 4 0 |
| 62.9 | 16.7 | 4 4 4 |
| 74.1 | 13.6 | 8 0 0 |
| 84.7 | 19.3 | 8 4 0 |

Atomic structure:
a b c (Å): 10.2395 10.2395 10.2395
angles (deg): 90.00 90.00 90.00
Space group Fd-3m (No. 227, origin choice 2)
Unique sites:
Mg 0.1250 0.1250 0.1250
Al 0.0000 0.0000 0.5000
S 0.0122 0.0122 0.7378